Starting from the GGA-PBE geometry in Alexandria, the PXRD pattern of Na3LiIn was simulated for copper Kα.
Lines closer than 0.1° are merged.

Principal peaks in the range 10 to 80 degrees two-theta, in order of falling intensity:
- 16.2 deg, 5.460 Å, I 100, (0 1 1)
- 33.9 deg, 2.647 Å, I 41, (3 1 -1)
- 10.4 deg, 8.480 Å, I 40, (1 0 0)
- 20.4 deg, 4.352 Å, I 39, (1 1 1)
- 32.4 deg, 2.761 Å, I 39, (2 1 -3)
- 17.1 deg, 5.196 Å, I 35, (0 0 2)

Cell and atoms:
```
data_Na3LiIn
_chemical_formula_sum 'Na12 Li4 In4'
_cell_length_a 8.725
_cell_length_b 6.417
_cell_length_c 10.693
_cell_angle_alpha 90.00
_cell_angle_beta 103.62
_cell_angle_gamma 90.00
_space_group_name_H-M_alt 'P 1 2/c 1'
_space_group_IT_number 13
_space_group_name_Hall '-P 2yc'
loop_
_atom_site_label
_atom_site_fract_x
_atom_site_fract_y
_atom_site_fract_z
Na1 0.002 0.230 0.408
Na2 0.204 0.271 0.799
Na3 0.371 0.472 0.583
Li1 0.366 0.011 0.063
In1 0.339 0.202 0.306
```

Starting from the GGA-PBE geometry in Alexandria, the PXRD pattern of Na2LiIn was simulated for copper Kα.
Lines closer than 0.1° are merged.

Principal peaks in the range 10 to 80 degrees two-theta, in order of falling intensity:
- 33.1 deg, 2.709 Å, I 100, (1 1 1)
- 26.2 deg, 3.400 Å, I 78, (1 0 1)
- 19.8 deg, 4.484 Å, I 76, (1 0 0)
- 40.2 deg, 2.242 Å, I 29, (2 0 0)
- 48.6 deg, 1.872 Å, I 28, (2 1 1)
- 40.0 deg, 2.255 Å, I 25, (1 0 2)

Cell and atoms:
```
data_Na2LiIn
_chemical_formula_sum 'Na2 Li1 In1'
_cell_length_a 4.484
_cell_length_b 4.484
_cell_length_c 5.217
_cell_angle_alpha 90.00
_cell_angle_beta 90.00
_cell_angle_gamma 90.00
_space_group_name_H-M_alt 'P 4/m m m'
_space_group_IT_number 123
_space_group_name_Hall '-P 4 2'
loop_
_atom_site_label
_atom_site_fract_x
_atom_site_fract_y
_atom_site_fract_z
Na1 0.000 0.500 0.000
Li1 0.000 0.000 0.500
In1 0.500 0.500 0.500
```